# Cs2TiP4O13
Theoretical PXRD pattern, Cu Kα. Input: DFT lattice parameters and positions (PBE).
Lines closer than 0.1° are merged.

Atomic structure:
Unit cell a=5.220 b=8.122 c=16.052 alpha=84.23 beta=83.94 gamma=80.50
Atoms (fractional coordinates):
Cs  0.176  0.243  0.489
Cs  0.233  0.201  0.970
Cs  0.767  0.799  0.030
Cs  0.824  0.757  0.511
Ti  0.055  0.442  0.240
Ti  0.945  0.558  0.760
P  0.166  0.906  0.696
P  0.185  0.826  0.213
P  0.375  0.720  0.851
P  0.478  0.599  0.336
P  0.522  0.401  0.664
P  0.625  0.280  0.149
P  0.815  0.174  0.787
P  0.834  0.094  0.304
O  0.013  0.091  0.712
O  0.035  0.215  0.292
O  0.067  0.675  0.192
O  0.208  0.587  0.833
O  0.227  0.468  0.675
O  0.243  0.948  0.141
O  0.289  0.800  0.931
O  0.312  0.919  0.612
O  0.318  0.467  0.312
O  0.333  0.358  0.155
O  0.350  0.863  0.771
O  0.383  0.663  0.420
O  0.440  0.752  0.260
O  0.560  0.248  0.740
O  0.617  0.337  0.580
O  0.650  0.137  0.229
O  0.667  0.642  0.845
O  0.682  0.533  0.688
O  0.688  0.081  0.388
O  0.711  0.200  0.069
O  0.757  0.052  0.859
O  0.773  0.532  0.325
O  0.792  0.413  0.167
O  0.933  0.325  0.808
O  0.965  0.785  0.708
O  0.987  0.909  0.288

Top 6 peaks for 2θ from 10° to 90°, by intensity:
25.02 deg, d 3.559, intensity 1000
25.81 deg, d 3.451, intensity 916
22.32 deg, d 3.983, intensity 840
26.99 deg, d 3.304, intensity 722
23.38 deg, d 3.806, intensity 667
27.11 deg, d 3.290, intensity 604

# MgTe2Mo2W2Se4S2
Theoretical PXRD pattern, Cu Kα. Input: DFT lattice parameters and positions (PBE).
Lines closer than 0.1° are merged.

Atomic structure:
Unit cell a=3.339 b=3.339 c=44.762 alpha=90.04 beta=90.04 gamma=60.00
Atoms (fractional coordinates):
Mg  0.000  0.000  0.000
Te  0.666  0.666  0.674
Te  0.667  0.667  0.759
Mo  0.333  0.333  0.098
Mo  0.667  0.667  0.280
W  0.333  0.333  0.716
W  0.667  0.667  0.897
Se  0.333  0.333  0.243
Se  0.334  0.334  0.318
Se  0.666  0.666  0.061
Se  0.667  0.667  0.136
S  0.333  0.333  0.863
S  0.334  0.334  0.931

Top 6 peaks for 2θ from 10° to 90°, by intensity:
40.74 deg, d 2.215, intensity 1000
34.92 deg, d 2.569, intensity 851
30.93 deg, d 2.891, intensity 577
11.86 deg, d 7.460, intensity 489
55.00 deg, d 1.670, intensity 423
37.01 deg, d 2.429, intensity 403

# CuH6Pb4S2O14
Theoretical PXRD pattern, Cu Kα. Input: DFT lattice parameters and positions (PBE).
Lines closer than 0.1° are merged.

Atomic structure:
Unit cell a=5.924 b=8.120 c=8.124 alpha=112.60 beta=101.25 gamma=97.05
Atoms (fractional coordinates):
Cu  0.000  0.000  0.000
H  0.157  0.196  0.343
H  0.181  0.554  0.581
H  0.219  0.751  0.917
H  0.781  0.249  0.083
H  0.819  0.446  0.419
H  0.843  0.804  0.657
Pb  0.368  0.488  0.255
Pb  0.441  0.954  0.730
Pb  0.559  0.046  0.270
Pb  0.632  0.512  0.745
S  0.061  0.279  0.735
S  0.939  0.721  0.265
O  0.086  0.484  0.811
O  0.162  0.218  0.574
O  0.195  0.229  0.880
O  0.196  0.808  0.318
O  0.211  0.186  0.232
O  0.275  0.883  0.955
O  0.327  0.607  0.564
O  0.673  0.393  0.436
O  0.725  0.117  0.045
O  0.789  0.814  0.768
O  0.804  0.192  0.682
O  0.805  0.771  0.120
O  0.838  0.782  0.426
O  0.914  0.516  0.189

Top 6 peaks for 2θ from 10° to 90°, by intensity:
24.61 deg, d 3.617, intensity 1000
15.63 deg, d 5.670, intensity 860
25.95 deg, d 3.434, intensity 753
19.99 deg, d 4.442, intensity 750
24.33 deg, d 3.658, intensity 716
31.45 deg, d 2.844, intensity 575

# Ba2CdIn
Theoretical PXRD pattern, Cu Kα. Input: DFT lattice parameters and positions (PBE).
Lines closer than 0.1° are merged.

Atomic structure:
Unit cell a=8.532 b=8.532 c=8.532 alpha=90.00 beta=90.00 gamma=90.00
Atoms (fractional coordinates):
Ba  0.250  0.250  0.250
Ba  0.250  0.250  0.750
Ba  0.250  0.750  0.250
Ba  0.250  0.750  0.750
Ba  0.750  0.250  0.250
Ba  0.750  0.250  0.750
Ba  0.750  0.750  0.250
Ba  0.750  0.750  0.750
Cd  0.000  0.000  0.000
Cd  0.000  0.500  0.500
Cd  0.500  0.000  0.500
Cd  0.500  0.500  0.000
In  0.000  0.000  0.500
In  0.000  0.500  0.000
In  0.500  0.000  0.000
In  0.500  0.500  0.500

Top 6 peaks for 2θ from 10° to 90°, by intensity:
29.61 deg, d 3.017, intensity 1000
52.55 deg, d 1.742, intensity 390
85.09 deg, d 1.140, intensity 198
42.37 deg, d 2.133, intensity 186
69.70 deg, d 1.349, intensity 166
61.48 deg, d 1.508, intensity 121

# Ho2SiSeO4
Theoretical PXRD pattern, Cu Kα. Input: DFT lattice parameters and positions (PBE).
Lines closer than 0.1° are merged.

Atomic structure:
Unit cell a=6.042 b=6.951 c=10.821 alpha=90.00 beta=90.00 gamma=90.00
Atoms (fractional coordinates):
Ho  0.109  0.250  0.000
Ho  0.109  0.250  0.500
Ho  0.366  0.528  0.250
Ho  0.366  0.972  0.750
Ho  0.634  0.028  0.250
Ho  0.634  0.472  0.750
Ho  0.891  0.750  0.000
Ho  0.891  0.750  0.500
Si  0.385  0.750  0.000
Si  0.385  0.750  0.500
Si  0.615  0.250  0.000
Si  0.615  0.250  0.500
Se  0.071  0.632  0.750
Se  0.071  0.868  0.250
Se  0.929  0.132  0.750
Se  0.929  0.368  0.250
O  0.222  0.568  0.031
O  0.222  0.568  0.469
O  0.222  0.932  0.531
O  0.222  0.932  0.969
O  0.448  0.241  0.621
O  0.448  0.241  0.879
O  0.448  0.259  0.121
O  0.448  0.259  0.379
O  0.552  0.741  0.621
O  0.552  0.741  0.879
O  0.552  0.759  0.121
O  0.552  0.759  0.379
O  0.778  0.068  0.031
O  0.778  0.068  0.469
O  0.778  0.432  0.531
O  0.778  0.432  0.969

Top 6 peaks for 2θ from 10° to 90°, by intensity:
30.57 deg, d 2.924, intensity 1000
33.11 deg, d 2.705, intensity 720
33.38 deg, d 2.684, intensity 626
36.43 deg, d 2.466, intensity 562
21.14 deg, d 4.202, intensity 522
25.55 deg, d 3.486, intensity 454

# TiC2
Theoretical PXRD pattern, Cu Kα. Input: DFT lattice parameters and positions (PBE).
Lines closer than 0.1° are merged.

Atomic structure:
Unit cell a=2.902 b=4.270 c=4.910 alpha=90.00 beta=90.00 gamma=90.00
Atoms (fractional coordinates):
Ti  0.000  0.000  0.000
Ti  0.000  0.500  0.500
C  0.500  0.157  0.657
C  0.500  0.343  0.157
C  0.500  0.657  0.157
C  0.500  0.843  0.657

Top 6 peaks for 2θ from 10° to 90°, by intensity:
41.90 deg, d 2.156, intensity 1000
27.68 deg, d 3.222, intensity 986
48.58 deg, d 1.874, intensity 349
36.60 deg, d 2.455, intensity 246
53.26 deg, d 1.720, intensity 233
60.59 deg, d 1.528, intensity 165

# UMnFe
Theoretical PXRD pattern, Cu Kα. Input: DFT lattice parameters and positions (PBE).
Lines closer than 0.1° are merged.

Atomic structure:
Unit cell a=4.961 b=5.030 c=6.955 alpha=90.00 beta=90.00 gamma=90.00
Atoms (fractional coordinates):
U  0.000  0.250  0.123
U  0.000  0.750  0.877
U  0.500  0.250  0.377
U  0.500  0.750  0.623
Mn  0.000  0.000  0.500
Mn  0.000  0.500  0.500
Mn  0.500  0.000  0.000
Mn  0.500  0.500  0.000
Fe  0.250  0.250  0.750
Fe  0.250  0.750  0.250
Fe  0.750  0.250  0.750
Fe  0.750  0.750  0.250

Top 6 peaks for 2θ from 10° to 90°, by intensity:
36.24 deg, d 2.479, intensity 1000
42.34 deg, d 2.135, intensity 481
42.67 deg, d 2.119, intensity 470
22.01 deg, d 4.039, intensity 288
21.81 deg, d 4.076, intensity 260
76.93 deg, d 1.239, intensity 256

# BaSrTbBiO6
Theoretical PXRD pattern, Cu Kα. Input: DFT lattice parameters and positions (PBE).
Lines closer than 0.1° are merged.

Atomic structure:
Unit cell a=6.136 b=6.136 c=6.136 alpha=60.00 beta=60.00 gamma=60.00
Atoms (fractional coordinates):
Ba  0.000  0.000  0.000
Sr  0.500  0.500  0.500
Tb  0.750  0.750  0.750
Bi  0.250  0.250  0.250
O  0.006  0.006  0.494
O  0.006  0.494  0.006
O  0.006  0.494  0.494
O  0.494  0.006  0.006
O  0.494  0.006  0.494
O  0.494  0.494  0.006

Top 6 peaks for 2θ from 10° to 90°, by intensity:
29.11 deg, d 3.068, intensity 1000
51.60 deg, d 1.771, intensity 420
41.63 deg, d 2.169, intensity 291
83.34 deg, d 1.160, intensity 224
60.34 deg, d 1.534, intensity 187
68.37 deg, d 1.372, intensity 186